Structure and calculated powder X-ray diffraction pattern of Ba3YHg4 (a structure optimized by DFT (GGA-PBE); Cu Ka).

Peak list (12 most intense, 10° ≤ 2θ ≤ 80°, sorted by position)
| d [Å] | Rel. int. |
| --- | --- |
| 4.026 | 8 |
| 3.258 | 10 |
| 2.893 | 100 |
| 2.847 | 57 |
| 2.013 | 21 |
| 1.825 | 10 |
| 1.680 | 11 |
| 1.652 | 38 |
| 1.423 | 7 |
| 1.416 | 8 |
| 1.277 | 8 |
| 1.273 | 10 |

Atomic structure:
```
data_Ba3YHg4
_chemical_formula_sum 'Ba3 Y1 Hg4'
_space_group_name_H-M_alt 'P 4/m m m'
_space_group_IT_number 123
_space_group_name_Hall '-P 4 2'
_cell_length_a 4.0259
_cell_length_b 4.0259
_cell_length_c 16.6439
_cell_angle_alpha 90.00
_cell_angle_beta 90.00
_cell_angle_gamma 90.00
loop_
_atom_site_label
_atom_site_fract_x
_atom_site_fract_y
_atom_site_fract_z
_atom_site_occupancy
Ba1 0.0000 0.0000 0.0000 1
Ba2 0.0000 0.0000 0.2643 1
Y1 0.0000 0.0000 0.5000 1
Hg1 0.5000 0.5000 0.1309 1
Hg2 0.5000 0.5000 0.4024 1
```